1.
Diffraction record for Ca2PaPt2. The powder XRD pattern is theoretical, not measured: it uses the PBE geometry in Alexandria and Cu Kα (λ = 1.5418 Å).
Intensities are scaled so that the largest is 100.

Structural model:
Cell: 10.433 7.316 6.964 Å, 90.00 94.37 90.00°
Fractional positions:
Ca1 0.057 0.104 0.271
Ca2 0.057 0.396 0.771
Ca3 0.295 0.748 0.484
Ca4 0.295 0.752 0.984
Ca5 0.705 0.248 0.016
Ca6 0.705 0.252 0.516
Ca7 0.943 0.604 0.229
Ca8 0.943 0.896 0.729
Pa1 0.369 0.238 0.988
Pa2 0.369 0.262 0.488
Pa3 0.631 0.738 0.512
Pa4 0.631 0.762 0.012
Pt1 0.201 0.065 0.706
Pt2 0.201 0.435 0.206
Pt3 0.479 0.515 0.760
Pt4 0.479 0.985 0.260
Pt5 0.521 0.015 0.740
Pt6 0.521 0.485 0.240
Pt7 0.799 0.565 0.794
Pt8 0.799 0.935 0.294

The 10 most intense peaks (10 to 80 degrees two-theta), by intensity:
35.66°, I = 100; 14.80°, I = 59; 36.24°, I = 27; 38.05°, I = 26; 40.88°, I = 19; 30.48°, I = 19; 42.66°, I = 19; 34.39°, I = 18; 32.08°, I = 18; 19.15°, I = 17

2.
Diffraction record for CaPuPa2Sb4. The powder XRD pattern is theoretical, not measured: it uses the PBE geometry in Alexandria and Cu Kα (λ = 1.5418 Å).
Intensities are scaled so that the largest is 100.

Structural model:
Cell: 6.238 6.238 12.539 Å, 90.00 90.00 90.00°
Fractional positions:
Ca1 0.000 0.000 0.000
Ca2 0.500 0.500 0.500
Pu1 0.000 0.500 0.750
Pu2 0.500 0.000 0.250
Pa1 0.000 0.000 0.500
Pa2 0.000 0.500 0.250
Pa3 0.500 0.000 0.750
Pa4 0.500 0.500 0.000
Sb1 0.000 0.000 0.255
Sb2 0.000 0.000 0.745
Sb3 0.000 0.500 0.003
Sb4 0.000 0.500 0.497
Sb5 0.500 0.000 0.503
Sb6 0.500 0.000 0.997
Sb7 0.500 0.500 0.245
Sb8 0.500 0.500 0.755

The 10 most intense peaks (10 to 80 degrees two-theta), by intensity:
28.62°, I = 100; 40.81°, I = 77; 28.47°, I = 50; 50.61°, I = 42; 40.92°, I = 38; 67.07°, I = 36; 74.45°, I = 27; 15.87°, I = 19; 66.80°, I = 18; 74.23°, I = 13

3.
Diffraction record for Ca5PaRh6. The powder XRD pattern is theoretical, not measured: it uses the PBE geometry in Alexandria and Cu Kα (λ = 1.5418 Å).
Intensities are scaled so that the largest is 100.

Structural model:
Cell: 4.916 6.911 7.643 Å, 90.00 108.42 90.00°
Fractional positions:
Ca1 0.000 0.000 0.000
Ca2 0.326 0.500 0.651
Ca3 0.333 0.000 0.666
Ca4 0.667 0.000 0.334
Ca5 0.674 0.500 0.349
Pa1 0.000 0.500 0.000
Rh1 0.149 0.273 0.296
Rh2 0.149 0.727 0.296
Rh3 0.500 0.275 0.000
Rh4 0.500 0.725 0.000
Rh5 0.851 0.273 0.704
Rh6 0.851 0.727 0.704

The 10 most intense peaks (10 to 80 degrees two-theta), by intensity:
36.77°, I = 100; 36.89°, I = 99; 36.56°, I = 56; 12.20°, I = 46; 12.81°, I = 45; 37.19°, I = 44; 66.10°, I = 32; 52.99°, I = 31; 19.06°, I = 25; 47.48°, I = 23

4.
Diffraction record for Ca12PaRh7. The powder XRD pattern is theoretical, not measured: it uses the PBE geometry in Alexandria and Cu Kα (λ = 1.5418 Å).
Intensities are scaled so that the largest is 100.

Structural model:
Cell: 9.201 9.201 9.201 Å, 109.74 109.74 109.74°
Fractional positions:
Ca1 0.097 0.658 0.244
Ca2 0.133 0.342 0.421
Ca3 0.244 0.097 0.658
Ca4 0.342 0.421 0.133
Ca5 0.342 0.756 0.903
Ca6 0.421 0.133 0.342
Ca7 0.579 0.867 0.658
Ca8 0.658 0.244 0.097
Ca9 0.658 0.579 0.867
Ca10 0.756 0.903 0.342
Ca11 0.867 0.658 0.579
Ca12 0.903 0.342 0.756
Pa1 0.000 0.000 0.000
Rh1 0.045 0.730 0.955
Rh2 0.045 0.955 0.270
Rh3 0.270 0.045 0.955
Rh4 0.500 0.500 0.500
Rh5 0.730 0.955 0.045
Rh6 0.955 0.045 0.730
Rh7 0.955 0.270 0.045

The 10 most intense peaks (10 to 80 degrees two-theta), by intensity:
11.88°, I = 100; 11.76°, I = 91; 31.64°, I = 63; 43.36°, I = 38; 20.72°, I = 17; 38.17°, I = 15; 23.89°, I = 15; 43.93°, I = 13; 31.45°, I = 13; 36.18°, I = 12